For Y4MgRh, a crystal structure in the Materials Project, relaxed with PBE gives the calculated XRD peak list in this record (Cu Kα, 1.54184 Å).
Lines closer than 0.1° are merged.

Atomic structure:
```
data_Y4MgRh
_space_group_name_H-M_alt 'F -4 3 m'
_space_group_IT_number 216
_space_group_name_Hall 'F -4 2 3'
_cell_length_a 13.801
_cell_length_b 13.801
_cell_length_c 13.801
_cell_angle_alpha 90.00
_cell_angle_beta 90.00
_cell_angle_gamma 90.00
loop_
_atom_site_label
_atom_site_fract_x
_atom_site_fract_y
_atom_site_fract_z
_atom_site_occupancy
Y1 0.000 0.000 0.186 1
Y2 0.063 0.250 0.750 1
Y3 0.098 0.098 0.402 1
Mg1 0.170 0.170 0.170 1
Rh1 0.108 0.108 0.608 1
```

Principal peaks in the range 2θ = 10–90°, in order of rising 2θ:
- (1 1 1), 7.968 Å, 11.1 deg, rel. 30
- (3 3 1), 3.166 Å, 28.2 deg, rel. 27
- (4 2 2), 2.817 Å, 31.8 deg, rel. 43
- (5 1 1), 2.656 Å, 33.7 deg, rel. 100
- (4 4 0), 2.440 Å, 36.8 deg, rel. 36
- (5 5 3), 1.797 Å, 50.8 deg, rel. 11
- (6 6 0), 1.627 Å, 56.6 deg, rel. 40
- (5 5 5), 1.594 Å, 57.9 deg, rel. 14
- (9 3 3), 1.387 Å, 67.5 deg, rel. 10
- (9 5 1), 1.334 Å, 70.6 deg, rel. 13
- (11 5 1), 1.138 Å, 85.3 deg, rel. 13
- (10 6 4), 1.119 Å, 87.0 deg, rel. 13


For SbP3CN3Cl15, a crystal structure in the Materials Project, relaxed with PBE gives the calculated XRD peak list in this record (Cu Kα, 1.54184 Å).
Lines closer than 0.1° are merged.

Atomic structure:
```
data_SbP3CN3Cl15
_space_group_name_H-M_alt 'P -1'
_space_group_IT_number 2
_cell_length_a 9.385
_cell_length_b 10.839
_cell_length_c 13.401
_cell_angle_alpha 86.40
_cell_angle_beta 88.84
_cell_angle_gamma 75.92
loop_
_space_group_symop_operation_xyz
'x,y,z'
'-x,-y,-z'
loop_
_atom_site_label
_atom_site_fract_x
_atom_site_fract_y
_atom_site_fract_z
_atom_site_occupancy
Sb1 0.188 0.248 0.190 1
P1 0.091 0.205 0.718 1
P2 0.286 0.710 0.494 1
P3 0.366 0.713 0.150 1
C1 0.193 0.738 0.311 1
N1 0.054 0.764 0.346 1
N2 0.218 0.736 0.212 1
N3 0.306 0.713 0.377 1
Cl1 0.080 0.692 0.809 1
Cl2 0.111 0.335 0.811 1
Cl3 0.136 0.039 0.797 1
Cl4 0.177 0.871 0.551 1
Cl5 0.184 0.081 0.321 1
Cl6 0.185 0.103 0.063 1
Cl7 0.186 0.396 0.321 1
Cl8 0.189 0.577 0.553 1
Cl9 0.193 0.416 0.064 1
Cl10 0.255 0.195 0.620 1
Cl11 0.311 0.737 0.007 1
Cl12 0.454 0.188 0.196 1
Cl13 0.482 0.672 0.557 1
Cl14 0.490 0.836 0.169 1
Cl15 0.499 0.459 0.830 1
```

Principal peaks in the range 2θ = 10–90°, in order of rising 2θ:
- (1 0 1), 7.529 Å, 11.8 deg, rel. 86
- (0 0 2), 6.680 Å, 13.3 deg, rel. 48
- (1 0 2), 5.401 Å, 16.4 deg, rel. 53
- (0 2 0), 5.246 Å, 16.9 deg, rel. 100
- (1 1 -2), 4.981 Å, 17.8 deg, rel. 74
- (-1 1 2), 4.607 Å, 19.3 deg, rel. 89
- (0 0 3), 4.459 Å, 19.9 deg, rel. 42
- (1 2 2), 4.188 Å, 21.2 deg, rel. 34
- (2 -1 0), 3.848 Å, 23.1 deg, rel. 29
- (1 3 -2), 3.069 Å, 29.1 deg, rel. 41
- (3 0 0), 3.032 Å, 29.5 deg, rel. 68
- (1 3 3), 2.875 Å, 31.1 deg, rel. 39


For K2BiAu, a crystal structure in the Materials Project, relaxed with PBE gives the calculated XRD peak list in this record (Cu Kα, 1.54184 Å).
Lines closer than 0.1° are merged.

Atomic structure:
```
data_K2BiAu
_space_group_name_H-M_alt 'C m c m'
_space_group_IT_number 63
_space_group_name_Hall '-C 2c 2'
_cell_length_a 10.815
_cell_length_b 7.976
_cell_length_c 6.844
_cell_angle_alpha 90.00
_cell_angle_beta 90.00
_cell_angle_gamma 90.00
loop_
_atom_site_label
_atom_site_fract_x
_atom_site_fract_y
_atom_site_fract_z
_atom_site_occupancy
K1 0.172 0.175 0.250 1
Bi1 0.000 0.226 0.750 1
Au1 0.000 0.500 0.000 1
```

Principal peaks in the range 2θ = 10–90°, in order of rising 2θ:
- (1 1 0), 6.419 Å, 13.8 deg, rel. 51
- (2 0 0), 5.407 Å, 16.4 deg, rel. 100
- (1 1 1), 4.682 Å, 19.0 deg, rel. 64
- (3 1 0), 3.285 Å, 27.1 deg, rel. 21
- (1 1 2), 3.020 Å, 29.6 deg, rel. 48
- (3 1 1), 2.962 Å, 30.2 deg, rel. 58
- (4 0 0), 2.704 Å, 33.1 deg, rel. 21
- (0 2 2), 2.597 Å, 34.5 deg, rel. 52
- (1 3 0), 2.582 Å, 34.7 deg, rel. 28
- (2 2 2), 2.341 Å, 38.5 deg, rel. 55
- (2 4 0), 1.873 Å, 48.6 deg, rel. 60
- (6 2 2), 1.481 Å, 62.7 deg, rel. 22


For Ba, a crystal structure in the Materials Project, relaxed with PBE gives the calculated XRD peak list in this record (Cu Kα, 1.54184 Å).
Lines closer than 0.1° are merged.

Atomic structure:
```
data_Ba
_space_group_name_H-M_alt 'C m c m'
_space_group_IT_number 63
_space_group_name_Hall '-C 2c 2'
_cell_length_a 4.357
_cell_length_b 7.912
_cell_length_c 7.368
_cell_angle_alpha 90.00
_cell_angle_beta 90.00
_cell_angle_gamma 90.00
loop_
_atom_site_label
_atom_site_fract_x
_atom_site_fract_y
_atom_site_fract_z
_atom_site_occupancy
Ba1 0.000 0.149 0.250 1
```

Principal peaks in the range 2θ = 10–90°, in order of rising 2θ:
- (1 1 0), 3.817 Å, 23.3 deg, rel. 36
- (0 0 2), 3.684 Å, 24.2 deg, rel. 47
- (0 2 1), 3.485 Å, 25.6 deg, rel. 75
- (1 1 1), 3.389 Å, 26.3 deg, rel. 100
- (1 1 2), 2.651 Å, 33.8 deg, rel. 28
- (1 3 0), 2.256 Å, 40.0 deg, rel. 22
- (0 2 3), 2.087 Å, 43.4 deg, rel. 18
- (1 1 3), 2.065 Å, 43.8 deg, rel. 25
- (1 3 2), 1.924 Å, 47.2 deg, rel. 28
- (2 0 2), 1.875 Å, 48.5 deg, rel. 14
- (2 2 1), 1.847 Å, 49.3 deg, rel. 25
- (2 2 3), 1.507 Å, 61.5 deg, rel. 13


For SnCl3O4, a crystal structure in the Materials Project, relaxed with PBE gives the calculated XRD peak list in this record (Cu Kα, 1.54184 Å).
Lines closer than 0.1° are merged.

Atomic structure:
```
data_SnCl3O4
_space_group_name_H-M_alt 'P 1 21/c 1'
_space_group_IT_number 14
_cell_length_a 9.706
_cell_length_b 6.365
_cell_length_c 16.089
_cell_angle_alpha 90.00
_cell_angle_beta 122.00
_cell_angle_gamma 90.00
loop_
_space_group_symop_operation_xyz
'x,y,z'
'-x,-y,-z'
'-x,y+1/2,-z+1/2'
'x,-y+1/2,z+1/2'
loop_
_atom_site_label
_atom_site_fract_x
_atom_site_fract_y
_atom_site_fract_z
_atom_site_occupancy
Sn1 0.168 0.021 0.482 1
Cl1 0.062 0.622 0.826 1
Cl2 0.263 0.138 0.985 1
Cl3 0.424 0.640 0.086 1
O1 0.042 0.662 0.030 1
O2 0.260 0.703 0.700 1
O3 0.290 0.047 0.704 1
O4 0.316 0.627 0.250 1
```

Principal peaks in the range 2θ = 10–90°, in order of rising 2θ:
- (1 0 0), 8.231 Å, 10.7 deg, rel. 21
- (0 0 2), 6.822 Å, 13.0 deg, rel. 52
- (0 1 1), 5.768 Å, 15.4 deg, rel. 100
- (1 1 -1), 5.317 Å, 16.7 deg, rel. 22
- (2 0 -2), 4.835 Å, 18.3 deg, rel. 26
- (2 0 -4), 3.793 Å, 23.5 deg, rel. 22
- (1 1 2), 3.540 Å, 25.2 deg, rel. 14
- (0 0 4), 3.411 Å, 26.1 deg, rel. 17
- (3 0 -2), 3.199 Å, 27.9 deg, rel. 12
- (3 1 -3), 2.880 Å, 31.1 deg, rel. 18
- (3 1 -1), 2.726 Å, 32.9 deg, rel. 14
- (2 0 -6), 2.684 Å, 33.4 deg, rel. 12


For Sm4MgRu, a crystal structure in the Materials Project, relaxed with PBE gives the calculated XRD peak list in this record (Cu Kα, 1.54184 Å).
Lines closer than 0.1° are merged.

Atomic structure:
```
data_Sm4MgRu
_space_group_name_H-M_alt 'F -4 3 m'
_space_group_IT_number 216
_space_group_name_Hall 'F -4 2 3'
_cell_length_a 13.958
_cell_length_b 13.958
_cell_length_c 13.958
_cell_angle_alpha 90.00
_cell_angle_beta 90.00
_cell_angle_gamma 90.00
loop_
_atom_site_label
_atom_site_fract_x
_atom_site_fract_y
_atom_site_fract_z
_atom_site_occupancy
Sm1 0.000 0.000 0.187 1
Sm2 0.062 0.250 0.750 1
Sm3 0.093 0.093 0.407 1
Mg1 0.171 0.171 0.171 1
Ru1 0.112 0.112 0.612 1
```

Principal peaks in the range 2θ = 10–90°, in order of rising 2θ:
- (1 1 1), 8.058 Å, 11.0 deg, rel. 26
- (3 3 1), 3.202 Å, 27.9 deg, rel. 47
- (4 2 2), 2.849 Å, 31.4 deg, rel. 60
- (5 1 1), 2.686 Å, 33.4 deg, rel. 100
- (4 4 0), 2.467 Å, 36.4 deg, rel. 34
- (7 3 3), 1.705 Å, 53.8 deg, rel. 15
- (6 6 0), 1.645 Å, 55.9 deg, rel. 55
- (5 5 5), 1.612 Å, 57.2 deg, rel. 14
- (9 3 3), 1.403 Å, 66.7 deg, rel. 12
- (9 5 1), 1.349 Å, 69.7 deg, rel. 12
- (11 5 1), 1.151 Å, 84.1 deg, rel. 16
- (10 6 4), 1.132 Å, 85.8 deg, rel. 15


Question: Number 5 is which compound?
Answer: SnCl3O4